[1]
Diffraction record for Cs3SrTl3Br8. The PXRD pattern is theoretical, not measured: it uses DFT lattice parameters and positions (GGA-PBE) and Cu Kα (λ = 1.5418 Å).
No peak broadening, texture or thermal motion is included.

The 10 most intense peaks (10° ≤ 2θ ≤ 90°), sorted by position:
two_theta  d (Å)  I_rel
10.53  8.402  17
22.22  4.002  9
25.40  3.506  100
35.56  2.525  37
36.89  2.436  37
45.33  2.001  19
52.17  1.753  12
57.97  1.591  15
59.83  1.546  11
65.60  1.423  11

Crystal structure
Cell: 9.7429 9.7429 10.1089 Å, 118.77 118.77 60.05°
Atoms (fractional coordinates):
Cs 0.0000 0.0000 0.0000
Cs 0.0000 0.5000 0.0000
Cs 0.5000 0.0000 0.0000
Sr 0.0000 0.0000 0.5000
Tl 0.0000 0.5000 0.5000
Tl 0.5000 0.0000 0.5000
Tl 0.5000 0.5000 0.5000
Br 0.2203 0.2203 0.7072
Br 0.2200 0.7668 0.7069
Br 0.2332 0.7800 0.2931
Br 0.2572 0.2572 0.2719
Br 0.7428 0.7428 0.7281
Br 0.7668 0.2200 0.7069
Br 0.7800 0.2332 0.2931
Br 0.7797 0.7797 0.2928



[2]
Diffraction record for Cs2SrTlBr6. The PXRD pattern is theoretical, not measured: it uses DFT lattice parameters and positions (GGA-PBE) and Cu Kα (λ = 1.5418 Å).
No peak broadening, texture or thermal motion is included.

The 10 most intense peaks (10° ≤ 2θ ≤ 90°), sorted by position:
two_theta  d (Å)  I_rel
14.79  5.991  19
20.98  4.235  43
25.65  3.474  18
25.87  3.445  20
29.83  2.996  100
36.88  2.437  16
42.70  2.118  47
42.94  2.106  13
53.18  1.722  13
70.29  1.339  20

Crystal structure
Cell: 8.4241 11.9698 8.5314 Å, 90.00 90.00 90.00°
Atoms (fractional coordinates):
Cs 0.2500 0.0148 0.2237
Cs 0.2500 0.4852 0.2237
Cs 0.7500 0.5148 0.7763
Cs 0.7500 0.9852 0.7763
Sr 0.2500 0.2500 0.7368
Sr 0.7500 0.7500 0.2632
Tl 0.2500 0.7500 0.7582
Tl 0.7500 0.2500 0.2418
Br 0.0061 0.7500 0.0156
Br 0.0147 0.2500 0.4701
Br 0.2500 0.5011 0.7674
Br 0.2500 0.9989 0.7674
Br 0.4853 0.2500 0.4701
Br 0.4939 0.7500 0.0156
Br 0.5061 0.2500 0.9844
Br 0.5147 0.7500 0.5299
Br 0.7500 0.0011 0.2326
Br 0.7500 0.4989 0.2326
Br 0.9853 0.7500 0.5299
Br 0.9939 0.2500 0.9844



[3]
Diffraction record for CsSrTlBr4. The PXRD pattern is theoretical, not measured: it uses DFT lattice parameters and positions (GGA-PBE) and Cu Kα (λ = 1.5418 Å).
No peak broadening, texture or thermal motion is included.

The 10 most intense peaks (10° ≤ 2θ ≤ 90°), sorted by position:
two_theta  d (Å)  I_rel
21.02  4.226  74
21.18  4.195  41
23.33  3.812  44
29.25  3.053  70
29.90  2.988  100
30.36  2.944  34
42.79  2.113  37
43.13  2.097  51
52.69  1.737  32
53.37  1.717  27

Crystal structure
Cell: 9.7923 9.7923 9.7923 Å, 144.46 144.46 51.14°
Atoms (fractional coordinates):
Cs 0.0000 0.0000 0.0000
Sr 0.3630 0.3630 0.0000
Tl 0.7137 0.7137 0.0000
Br 0.1950 0.1950 0.0000
Br 0.3637 0.8637 0.5000
Br 0.5390 0.5390 0.0000
Br 0.8637 0.3637 0.5000



[4]
Diffraction record for Cs3TaBr6. The PXRD pattern is theoretical, not measured: it uses DFT lattice parameters and positions (GGA-PBE) and Cu Kα (λ = 1.5418 Å).
No peak broadening, texture or thermal motion is included.

The 10 most intense peaks (10° ≤ 2θ ≤ 90°), sorted by position:
two_theta  d (Å)  I_rel
14.70  6.027  27
20.84  4.262  85
25.60  3.480  32
29.65  3.013  100
36.52  2.460  32
42.42  2.131  67
47.72  1.906  28
52.61  1.740  21
57.19  1.611  27
69.79  1.348  24

Crystal structure
Cell: 8.5231 8.5231 8.5231 Å, 60.00 60.00 60.00°
Atoms (fractional coordinates):
Cs 0.0000 0.0000 0.0000
Cs 0.2500 0.2500 0.2500
Cs 0.7500 0.7500 0.7500
Ta 0.5000 0.5000 0.5000
Br 0.2815 0.2815 0.7185
Br 0.2815 0.7185 0.2815
Br 0.2815 0.7185 0.7185
Br 0.7185 0.2815 0.2815
Br 0.7185 0.2815 0.7185
Br 0.7185 0.7185 0.2815



[5]
Diffraction record for Cs3TaBr8. The PXRD pattern is theoretical, not measured: it uses DFT lattice parameters and positions (GGA-PBE) and Cu Kα (λ = 1.5418 Å).
No peak broadening, texture or thermal motion is included.

The 10 most intense peaks (10° ≤ 2θ ≤ 90°), sorted by position:
two_theta  d (Å)  I_rel
12.93  6.846  39
16.48  5.377  27
17.57  5.048  29
21.01  4.229  77
26.03  3.423  100
30.11  2.968  40
30.97  2.888  36
32.84  2.728  39
33.32  2.689  47
37.91  2.373  36

Crystal structure
Cell: 10.7549 10.7549 10.0956 Å, 90.00 90.00 120.00°
Atoms (fractional coordinates):
Cs 0.1521 0.3043 0.0000
Cs 0.1521 0.8479 0.0000
Cs 0.3043 0.1521 0.5000
Cs 0.6957 0.8479 0.0000
Cs 0.8479 0.1521 0.5000
Cs 0.8479 0.6957 0.5000
Ta 0.3333 0.6667 0.4581
Ta 0.6667 0.3333 0.9581
Br 0.0000 0.0000 0.2559
Br 0.0000 0.0000 0.7559
Br 0.1101 0.5551 0.3166
Br 0.2224 0.4449 0.6076
Br 0.2224 0.7776 0.6076
Br 0.3333 0.6667 0.9599
Br 0.4449 0.2224 0.1076
Br 0.4449 0.5551 0.3166
Br 0.4449 0.8899 0.3166
Br 0.5551 0.1101 0.8166
Br 0.5551 0.4449 0.8166
Br 0.5551 0.7776 0.6076
Br 0.6667 0.3333 0.4599
Br 0.7776 0.2224 0.1076
Br 0.7776 0.5551 0.1076
Br 0.8899 0.4449 0.8166



[6]
Diffraction record for CsTaBr6. The PXRD pattern is theoretical, not measured: it uses DFT lattice parameters and positions (GGA-PBE) and Cu Kα (λ = 1.5418 Å).
No peak broadening, texture or thermal motion is included.

The 10 most intense peaks (10° ≤ 2θ ≤ 90°), sorted by position:
two_theta  d (Å)  I_rel
15.16  5.846  68
16.41  5.402  93
17.20  5.157  47
28.22  3.163  35
28.85  3.094  100
29.61  3.017  86
29.99  2.979  84
38.56  2.335  38
39.17  2.300  37
44.88  2.020  51

Crystal structure
Cell: 7.4800 7.4800 13.3471 Å, 100.67 100.67 56.63°
Atoms (fractional coordinates):
Cs 0.0988 0.9012 0.7500
Cs 0.9012 0.0988 0.2500
Ta 0.0000 0.5000 0.0000
Ta 0.5000 0.0000 0.5000
Br 0.1103 0.1968 0.5361
Br 0.1945 0.3807 0.8406
Br 0.1968 0.1103 0.0361
Br 0.3008 0.5353 0.1052
Br 0.3807 0.1945 0.3406
Br 0.4647 0.6992 0.3948
Br 0.5353 0.3008 0.6052
Br 0.6193 0.8055 0.6594
Br 0.6992 0.4647 0.8948
Br 0.8032 0.8897 0.9639
Br 0.8055 0.6193 0.1594
Br 0.8897 0.8032 0.4639



[7]
Diffraction record for Cs2Ta3Br9. The PXRD pattern is theoretical, not measured: it uses DFT lattice parameters and positions (GGA-PBE) and Cu Kα (λ = 1.5418 Å).
No peak broadening, texture or thermal motion is included.

The 10 most intense peaks (10° ≤ 2θ ≤ 90°), sorted by position:
two_theta  d (Å)  I_rel
10.44  8.475  100
13.33  6.640  32
16.86  5.257  18
30.33  2.947  36
34.23  2.620  27
37.58  2.394  19
37.67  2.388  30
42.98  2.104  30
46.48  1.954  18
56.77  1.622  20

Crystal structure
Cell: 10.8541 10.8541 10.8367 Å, 104.26 104.26 115.68°
Atoms (fractional coordinates):
Cs 0.0465 0.7341 0.6758
Cs 0.2659 0.9535 0.3242
Cs 0.7341 0.0465 0.6758
Cs 0.9535 0.2659 0.3242
Ta 0.2965 0.4564 0.8704
Ta 0.3975 0.3975 0.1153
Ta 0.4564 0.2965 0.8704
Ta 0.5436 0.7035 0.1296
Ta 0.6025 0.6025 0.8847
Ta 0.7035 0.5436 0.1296
Br 0.0154 0.3951 0.6903
Br 0.1204 0.3208 0.9830
Br 0.1911 0.1911 0.6782
Br 0.2580 0.2580 0.2706
Br 0.3012 0.6988 0.0000
Br 0.3208 0.1204 0.9830
Br 0.3741 0.5720 0.6967
Br 0.3951 0.0154 0.6903
Br 0.4280 0.6259 0.3033
Br 0.5720 0.3741 0.6967
Br 0.6049 0.9846 0.3097
Br 0.6259 0.4280 0.3033
Br 0.6792 0.8796 0.0170
Br 0.6988 0.3012 0.0000
Br 0.7420 0.7420 0.7294
Br 0.8089 0.8089 0.3218
Br 0.8796 0.6792 0.0170
Br 0.9846 0.6049 0.3097



[8]
Diffraction record for CsTb2Br8. The PXRD pattern is theoretical, not measured: it uses DFT lattice parameters and positions (GGA-PBE) and Cu Kα (λ = 1.5418 Å).
No peak broadening, texture or thermal motion is included.

The 10 most intense peaks (10° ≤ 2θ ≤ 90°), sorted by position:
two_theta  d (Å)  I_rel
20.62  4.307  73
32.56  2.750  100
34.96  2.567  19
36.69  2.450  51
38.06  2.364  14
39.64  2.274  41
42.45  2.129  22
52.86  1.732  18
63.47  1.466  29
68.04  1.378  16

Crystal structure
Cell: 6.9285 6.9285 9.0410 Å, 90.00 90.00 90.00°
Atoms (fractional coordinates):
Cs 0.0000 0.0000 0.0000
Tb 0.0000 0.5000 0.5000
Tb 0.5000 0.0000 0.5000
Br 0.2515 0.2515 0.3100
Br 0.2515 0.2515 0.6900
Br 0.2515 0.7485 0.3100
Br 0.2515 0.7485 0.6900
Br 0.7485 0.2515 0.3100
Br 0.7485 0.2515 0.6900
Br 0.7485 0.7485 0.3100
Br 0.7485 0.7485 0.6900



[9]
Diffraction record for Cs3Tb2Br9. The PXRD pattern is theoretical, not measured: it uses DFT lattice parameters and positions (GGA-PBE) and Cu Kα (λ = 1.5418 Å).
No peak broadening, texture or thermal motion is included.

The 10 most intense peaks (10° ≤ 2θ ≤ 90°), sorted by position:
two_theta  d (Å)  I_rel
12.70  6.970  21
22.09  4.024  22
26.61  3.350  16
28.88  3.092  100
29.58  3.020  12
37.23  2.415  36
45.06  2.012  31
48.41  1.880  22
53.10  1.725  14
54.41  1.686  15

Crystal structure
Cell: 10.4721 10.4721 10.4721 Å, 83.45 83.45 83.45°
Atoms (fractional coordinates):
Cs 0.0879 0.7500 0.4121
Cs 0.2500 0.5879 0.9121
Cs 0.4121 0.0879 0.7500
Cs 0.5879 0.9121 0.2500
Cs 0.7500 0.4121 0.0879
Cs 0.9121 0.2500 0.5879
Tb 0.1518 0.1518 0.1518
Tb 0.3482 0.3482 0.3482
Tb 0.6518 0.6518 0.6518
Tb 0.8482 0.8482 0.8482
Br 0.0814 0.9171 0.7333
Br 0.0829 0.2667 0.9186
Br 0.0946 0.4054 0.2500
Br 0.2333 0.4171 0.5814
Br 0.2500 0.0946 0.4054
Br 0.2667 0.9186 0.0829
Br 0.4054 0.2500 0.0946
Br 0.4171 0.5814 0.2333
Br 0.4186 0.7667 0.5829
Br 0.5814 0.2333 0.4171
Br 0.5829 0.4186 0.7667
Br 0.5946 0.7500 0.9054
Br 0.7333 0.0814 0.9171
Br 0.7500 0.9054 0.5946
Br 0.7667 0.5829 0.4186
Br 0.9054 0.5946 0.7500
Br 0.9171 0.7333 0.0814
Br 0.9186 0.0829 0.2667



[10]
Diffraction record for Cs2TbBr6. The PXRD pattern is theoretical, not measured: it uses DFT lattice parameters and positions (GGA-PBE) and Cu Kα (λ = 1.5418 Å).
No peak broadening, texture or thermal motion is included.

The 10 most intense peaks (10° ≤ 2θ ≤ 90°), sorted by position:
two_theta  d (Å)  I_rel
14.51  6.105  21
22.27  3.992  19
26.68  3.341  23
27.44  3.250  21
29.26  3.052  100
33.15  2.703  39
43.55  2.078  20
45.44  1.996  37
49.65  1.836  22
53.91  1.701  18

Crystal structure
Cell: 7.9836 7.9836 13.0016 Å, 90.00 90.00 120.00°
Atoms (fractional coordinates):
Cs 0.0000 0.0000 0.0000
Cs 0.0000 0.0000 0.5000
Cs 0.3333 0.6667 0.2561
Cs 0.6667 0.3333 0.7561
Tb 0.3333 0.6667 0.6340
Tb 0.6667 0.3333 0.1340
Br 0.0045 0.5022 0.5072
Br 0.1637 0.3274 0.7528
Br 0.1637 0.8363 0.7528
Br 0.3274 0.1637 0.2528
Br 0.4978 0.5022 0.5072
Br 0.4978 0.9955 0.5072
Br 0.5022 0.0045 0.0072
Br 0.5022 0.4978 0.0072
Br 0.6726 0.8363 0.7528
Br 0.8363 0.1637 0.2528
Br 0.8363 0.6726 0.2528
Br 0.9955 0.4978 0.0072



[11]
Diffraction record for Cs6Tb3Br14. The PXRD pattern is theoretical, not measured: it uses DFT lattice parameters and positions (GGA-PBE) and Cu Kα (λ = 1.5418 Å).
No peak broadening, texture or thermal motion is included.

The 10 most intense peaks (10° ≤ 2θ ≤ 90°), sorted by position:
two_theta  d (Å)  I_rel
13.36  6.626  58
14.63  6.054  50
18.28  4.853  50
19.86  4.470  100
24.02  3.705  64
26.44  3.371  75
28.03  3.183  62
29.51  3.027  63
30.76  2.906  71
32.52  2.753  48

Crystal structure
Cell: 13.2518 13.2518 7.1270 Å, 90.00 90.00 120.00°
Atoms (fractional coordinates):
Cs 0.0272 0.4533 0.0000
Cs 0.3082 0.2108 0.5247
Cs 0.4260 0.9728 0.0000
Cs 0.5467 0.5740 0.0000
Cs 0.7892 0.0974 0.5247
Cs 0.9026 0.6918 0.5247
Tb 0.0000 0.0000 0.0942
Tb 0.3333 0.6667 0.5738
Tb 0.6667 0.3333 0.2500
Br 0.0000 0.0000 0.7121
Br 0.0726 0.2176 0.2263
Br 0.1450 0.9274 0.2263
Br 0.1853 0.7349 0.7121
Br 0.2651 0.4504 0.7121
Br 0.3333 0.6667 0.1924
Br 0.4625 0.2654 0.0322
Br 0.5321 0.1294 0.4697
Br 0.5496 0.8147 0.7121
Br 0.5973 0.4679 0.4697
Br 0.7346 0.1971 0.0322
Br 0.7824 0.8550 0.2263
Br 0.8029 0.5375 0.0322
Br 0.8706 0.4027 0.4697